LiMn2V4O8: simulated powder XRD pattern (Cu Kα), based on the PBE+U geometry in Alexandria.

Crystal structure
a b c (Å): 6.0249 6.0249 16.0829
angles (deg): 90.00 90.00 120.00
Space group R-3m (No. 166, hexagonal axes)
Asymmetric unit:
Li: 0.0000 0.0000 0.0000 [3 per cell]
Mn: 0.0000 0.0000 0.1446 [6 per cell]
V: 0.0000 0.0000 0.5000 [3 per cell]
V: 0.0000 0.5000 0.0000 [9 per cell]
O: 0.0000 0.0000 0.2681 [6 per cell]
O: 0.0132 0.5066 0.2589 [18 per cell]

Most intense lines, 5 to 70 degrees two-theta, by angle:
d 3.185, 28.0 deg, intensity 22.2, hkl 1 0 4
d 3.012, 29.7 deg, intensity 27.8, hkl 1 1 0
d 2.738, 32.7 deg, intensity 21.2, hkl 0 1 5
d 2.626, 34.1 deg, intensity 100.0, hkl 1 1 3
d 2.575, 34.8 deg, intensity 34.8, hkl 0 2 1
d 2.189, 41.3 deg, intensity 40.4, hkl 0 2 4
d 1.724, 53.1 deg, intensity 25.5, hkl 0 2 7
d 1.654, 55.5 deg, intensity 22.2, hkl 0 3 3
d 1.592, 57.9 deg, intensity 33.9, hkl 2 0 8
d 1.506, 61.6 deg, intensity 38.6, hkl 2 2 0